Theoretical powder XRD pattern of Pm4Pr4Tm3 for CuKα, from a PBE-relaxed structure.
No peak broadening, texture or thermal motion is included.

Structural model:
```
11
Lattice="3.573 0.000 0.000 0.001 5.733 0.000 1.786 2.841 18.121" Properties=species:S:1:pos:R:3 pbc="T T T"
Pm 0.892 1.433 5.786
Pm 0.894 4.299 0.639
Pm 4.466 4.275 17.481
Pm 4.468 7.141 12.335
Pr 0.893 4.299 7.384
Pr 0.892 1.431 2.551
Pr 4.468 7.143 15.570
Pr 4.467 4.275 10.737
Tm 2.682 4.277 13.976
Tm 2.680 1.421 9.060
Tm 2.678 4.297 4.145
```

Top 10 peaks for 2θ = 10–90°, in order of rising 2θ:
| 2theta | I_rel |
| --- | --- |
| 30.4 | 42.0 |
| 31.1 | 92.7 |
| 31.2 | 100.0 |
| 31.3 | 49.0 |
| 44.1 | 30.4 |
| 45.3 | 18.0 |
| 55.5 | 18.2 |
| 55.6 | 19.8 |
| 56.0 | 19.2 |
| 61.2 | 44.0 |


Theoretical powder XRD pattern of PmPr3Tm4 for CuKα, from a PBE-relaxed structure.
No peak broadening, texture or thermal motion is included.

Structural model:
```
16
Lattice="10.186 0.000 0.000 0.000 7.180 0.000 0.000 0.000 7.180" Properties=species:S:1:pos:R:3 pbc="T T T"
Pm 0.000 0.000 0.000
Pm 5.093 0.000 3.590
Pr 0.000 3.590 3.590
Pr 2.547 1.786 1.795
Pr 2.547 5.394 5.385
Pr 5.093 3.590 0.000
Pr 7.640 1.786 1.795
Pr 7.640 5.394 5.385
Tm 0.000 0.000 3.590
Tm 0.000 3.590 0.000
Tm 2.547 1.794 5.385
Tm 2.547 5.386 1.795
Tm 5.093 0.000 0.000
Tm 5.093 3.590 3.590
Tm 7.640 1.794 5.385
Tm 7.640 5.386 1.795
```

Top 10 peaks for 2θ = 10–90°, in order of rising 2θ:
| 2theta | I_rel |
| --- | --- |
| 30.5 | 100.0 |
| 35.2 | 17.0 |
| 35.4 | 33.7 |
| 50.8 | 36.2 |
| 60.3 | 14.4 |
| 60.5 | 28.6 |
| 63.4 | 12.4 |
| 82.7 | 11.9 |
| 82.9 | 5.9 |
| 85.5 | 11.0 |


Theoretical powder XRD pattern of Pm3Pr2Tm3 for CuKα, from a PBE-relaxed structure.
No peak broadening, texture or thermal motion is included.

Structural model:
```
16
Lattice="5.089 0.000 0.000 0.000 5.119 0.000 0.000 0.000 20.346" Properties=species:S:1:pos:R:3 pbc="T T T"
Pm 0.000 0.000 0.000
Pm 0.000 2.559 2.481
Pm 0.000 2.559 17.865
Pm 2.545 0.000 7.692
Pm 2.545 0.000 12.655
Pm 2.545 2.559 10.173
Pr 0.000 0.000 5.080
Pr 0.000 0.000 15.267
Pr 2.545 2.559 5.093
Pr 2.545 2.559 15.253
Tm 0.000 0.000 10.173
Tm 0.000 2.559 7.668
Tm 0.000 2.559 12.679
Tm 2.545 0.000 2.506
Tm 2.545 0.000 17.841
Tm 2.545 2.559 0.000
```

Top 10 peaks for 2θ = 10–90°, in order of rising 2θ:
| 2theta | I_rel |
| --- | --- |
| 30.4 | 100.0 |
| 35.1 | 17.1 |
| 35.3 | 33.5 |
| 50.6 | 24.2 |
| 50.8 | 12.0 |
| 60.0 | 14.5 |
| 60.3 | 28.4 |
| 63.2 | 12.3 |
| 82.4 | 11.8 |
| 82.6 | 5.8 |


Theoretical powder XRD pattern of Pm7PrTm4 for CuKα, from a PBE-relaxed structure.
No peak broadening, texture or thermal motion is included.

Structural model:
```
12
Lattice="3.601 0.000 0.000 -1.801 3.119 0.000 0.000 0.000 35.231" Properties=species:S:1:pos:R:3 pbc="T T T"
Pm 0.000 0.000 0.000
Pm 0.000 0.000 8.789
Pm 0.000 0.000 26.442
Pm 0.000 2.079 5.775
Pm 0.000 2.079 14.566
Pm 1.801 1.040 20.666
Pm 1.801 1.040 29.457
Pr 0.000 0.000 17.616
Tm 0.000 2.079 23.544
Tm 0.000 2.079 32.348
Tm 1.801 1.040 2.884
Tm 1.801 1.040 11.688
```

Top 9 peaks for 2θ = 10–90°, in order of rising 2θ:
| 2theta | I_rel |
| --- | --- |
| 30.4 | 100.0 |
| 35.3 | 50.6 |
| 50.7 | 35.8 |
| 60.3 | 42.3 |
| 63.3 | 12.2 |
| 74.6 | 5.6 |
| 82.6 | 13.2 |
| 82.7 | 4.1 |
| 85.3 | 15.9 |


Theoretical powder XRD pattern of Pm5Pr2Tm3 for CuKα, from a PBE-relaxed structure.
No peak broadening, texture or thermal motion is included.

Structural model:
```
20
Lattice="5.455 -7.907 0.000 5.455 7.907 0.000 -5.405 0.000 7.944" Properties=species:S:1:pos:R:3 pbc="T T T"
Pm 1.401 7.387 5.958
Pm -1.361 1.815 5.714
Pm 1.401 4.267 5.958
Pm 4.104 3.655 1.986
Pm 1.341 -1.815 1.742
Pm 4.164 1.815 6.202
Pm 1.401 -3.655 5.958
Pm 4.104 -4.267 1.986
Pm 6.866 -1.815 2.230
Pm 4.104 -7.387 1.986
Pr 1.469 1.936 3.568
Pr -1.234 -1.936 7.540
Pr 6.739 1.936 0.404
Pr 4.036 -1.936 4.376
Tm 1.482 1.878 0.360
Tm -1.220 -1.878 4.332
Tm 4.104 0.400 1.986
Tm 1.401 -0.400 5.958
Tm 6.725 1.878 3.612
Tm 4.023 -1.878 7.584
```

Top 10 peaks for 2θ = 10–90°, in order of rising 2θ:
| 2theta | I_rel |
| --- | --- |
| 30.0 | 33.1 |
| 30.1 | 100.0 |
| 31.9 | 16.9 |
| 32.8 | 32.6 |
| 35.9 | 7.9 |
| 37.9 | 19.3 |
| 48.7 | 13.2 |
| 57.0 | 10.4 |
| 57.6 | 9.7 |
| 65.8 | 12.6 |


Theoretical powder XRD pattern of Pm3Pr8Tm for CuKα, from a PBE-relaxed structure.
No peak broadening, texture or thermal motion is included.

Structural model:
```
12
Lattice="-4.443 4.443 5.871 4.443 -4.443 5.871 4.443 4.443 -5.871" Properties=species:S:1:pos:R:3 pbc="T T T"
Pm 0.000 0.000 0.000
Pm 4.443 0.000 2.935
Pm 0.000 4.443 2.935
Pr 3.337 3.337 -2.914
Pr 2.199 -2.199 5.791
Pr 2.245 2.245 0.079
Pr 1.107 1.107 2.957
Pr 1.107 -1.107 8.784
Pr -2.199 2.199 5.791
Pr 2.199 2.199 5.950
Pr -1.107 1.107 8.784
Tm 0.000 0.000 5.871
```

Top 10 peaks for 2θ = 10–90°, in order of rising 2θ:
| 2theta | I_rel |
| --- | --- |
| 23.6 | 57.0 |
| 25.1 | 46.1 |
| 28.4 | 77.7 |
| 30.5 | 70.7 |
| 32.3 | 27.6 |
| 35.4 | 100.0 |
| 42.1 | 52.9 |
| 43.6 | 46.9 |
| 55.0 | 28.9 |
| 67.6 | 31.6 |


Theoretical powder XRD pattern of PmPr5Tm5 for CuKα, from a PBE-relaxed structure.
No peak broadening, texture or thermal motion is included.

Structural model:
```
11
Lattice="9.511 -2.998 0.000 9.511 2.998 0.000 -2.610 0.000 6.576" Properties=species:S:1:pos:R:3 pbc="T T T"
Pm 0.000 0.000 0.000
Pr 2.259 0.000 2.769
Pr 0.923 0.000 6.137
Pr 9.511 0.000 0.000
Pr 15.489 0.000 0.439
Pr 14.154 0.000 3.808
Tm -1.305 0.000 3.288
Tm 4.130 0.000 5.457
Tm 6.221 0.000 2.482
Tm 10.191 0.000 4.094
Tm 12.283 0.000 1.119
```

Top 10 peaks for 2θ = 10–90°, in order of rising 2θ:
| 2theta | I_rel |
| --- | --- |
| 27.2 | 20.7 |
| 28.2 | 16.0 |
| 29.3 | 18.6 |
| 29.8 | 76.3 |
| 30.3 | 30.9 |
| 33.1 | 100.0 |
| 40.8 | 14.0 |
| 43.0 | 23.8 |
| 55.0 | 23.7 |
| 60.8 | 16.6 |


Theoretical powder XRD pattern of Pm2PrTm6 for CuKα, from a PBE-relaxed structure.
No peak broadening, texture or thermal motion is included.

Structural model:
```
9
Lattice="9.679 0.000 0.000 -4.839 8.382 0.000 0.000 0.000 3.521" Properties=species:S:1:pos:R:3 pbc="T T T"
Pm 0.000 5.588 0.839
Pm 4.839 2.794 2.682
Pr 0.000 0.000 0.000
Tm -3.027 5.619 2.576
Tm 1.487 2.952 2.576
Tm 3.299 0.188 0.944
Tm 1.540 8.194 2.576
Tm 3.353 5.431 0.944
Tm 7.866 2.763 0.944
```

Top 10 peaks for 2θ = 10–90°, in order of rising 2θ:
| 2theta | I_rel |
| --- | --- |
| 31.4 | 84.0 |
| 32.0 | 100.0 |
| 33.2 | 15.4 |
| 38.2 | 14.5 |
| 45.5 | 27.4 |
| 54.4 | 11.9 |
| 56.7 | 27.4 |
| 57.1 | 16.8 |
| 62.3 | 18.0 |
| 67.0 | 9.6 |


Theoretical powder XRD pattern of Pm2Pr2Tm5 for CuKα, from a PBE-relaxed structure.
No peak broadening, texture or thermal motion is included.

Structural model:
```
18
Lattice="-7.490 5.929 3.364 7.490 -5.929 3.364 7.490 5.929 -3.364" Properties=species:S:1:pos:R:3 pbc="T T T"
Pm 1.899 0.072 0.000
Pm 5.591 0.072 0.000
Pm 1.899 5.857 3.364
Pm 5.591 5.857 3.364
Pr 3.745 -0.129 3.030
Pr 3.745 6.058 -0.334
Pr 0.000 5.929 0.352
Pr 0.000 0.000 3.716
Tm 6.684 3.080 -0.991
Tm 8.296 -2.849 2.373
Tm 3.745 2.931 1.024
Tm -2.122 3.141 1.085
Tm 9.612 3.141 1.085
Tm 0.806 2.849 2.373
Tm 6.684 2.849 2.373
Tm 2.122 8.717 1.085
Tm -2.122 2.788 4.448
Tm 3.745 2.998 4.388
```

Top 10 peaks for 2θ = 10–90°, in order of rising 2θ:
| 2theta | I_rel |
| --- | --- |
| 28.3 | 75.3 |
| 30.1 | 100.0 |
| 30.6 | 69.3 |
| 30.8 | 64.9 |
| 32.9 | 68.8 |
| 33.0 | 55.6 |
| 35.6 | 55.2 |
| 37.7 | 44.1 |
| 39.5 | 30.1 |
| 58.5 | 24.7 |


Theoretical powder XRD pattern of Pm5PrTm4 for CuKα, from a PBE-relaxed structure.
No peak broadening, texture or thermal motion is included.

Structural model:
```
10
Lattice="8.570 -1.775 0.000 8.570 1.775 0.000 -3.735 0.000 10.826" Properties=species:S:1:pos:R:3 pbc="T T T"
Pm 0.000 0.000 0.000
Pm 1.646 0.000 9.571
Pm 3.742 0.000 4.566
Pm 9.663 0.000 6.260
Pm 11.759 0.000 1.255
Pr -1.868 0.000 5.413
Tm 0.690 0.000 3.207
Tm 6.384 0.000 2.249
Tm 7.020 0.000 8.577
Tm 12.714 0.000 7.619
```

Top 10 peaks for 2θ = 10–90°, in order of rising 2θ:
| 2theta | I_rel |
| --- | --- |
| 29.8 | 20.8 |
| 30.1 | 18.5 |
| 31.2 | 48.1 |
| 31.6 | 100.0 |
| 31.8 | 43.8 |
| 32.7 | 21.3 |
| 37.2 | 13.5 |
| 46.9 | 13.4 |
| 61.5 | 14.0 |
| 61.8 | 13.2 |


Theoretical powder XRD pattern of Pm2Pr4Tm for CuKα, from a PBE-relaxed structure.
No peak broadening, texture or thermal motion is included.

Structural model:
```
14
Lattice="0.000 12.295 3.272 6.096 0.000 3.272 6.096 12.295 0.000" Properties=species:S:1:pos:R:3 pbc="T T T"
Pm 6.375 7.028 3.272
Pm 8.865 13.175 4.908
Pm 5.817 17.562 3.272
Pm 9.423 23.709 4.908
Pr 2.247 2.613 1.778
Pr 5.295 3.534 3.414
Pr 3.849 9.682 1.778
Pr 6.719 10.584 3.608
Pr 5.473 14.006 3.608
Pr 8.521 16.731 5.244
Pr 6.897 21.055 3.414
Pr 9.767 20.153 5.244
Tm 6.096 12.295 0.351
Tm 3.048 6.147 1.987
```

Top 10 peaks for 2θ = 10–90°, in order of rising 2θ:
| 2theta | I_rel |
| --- | --- |
| 29.3 | 12.2 |
| 29.8 | 100.0 |
| 30.2 | 31.0 |
| 31.0 | 65.5 |
| 31.7 | 30.8 |
| 31.9 | 22.9 |
| 36.5 | 28.6 |
| 49.8 | 20.7 |
| 54.4 | 22.0 |
| 59.8 | 14.2 |


Theoretical powder XRD pattern of Pm5Pr2Tm4 for CuKα, from a PBE-relaxed structure.
No peak broadening, texture or thermal motion is included.

Structural model:
```
11
Lattice="8.873 -1.775 0.000 8.873 1.775 0.000 -0.814 0.000 11.653" Properties=species:S:1:pos:R:3 pbc="T T T"
Pm 0.000 0.000 0.000
Pm 4.995 0.000 10.868
Pm 6.809 0.000 5.416
Pm 10.122 0.000 6.237
Pm 11.936 0.000 0.786
Pr 3.556 0.000 4.080
Pr 13.375 0.000 7.573
Tm 1.820 0.000 9.293
Tm 7.711 0.000 8.662
Tm 9.220 0.000 2.991
Tm 15.111 0.000 2.360
```

Top 10 peaks for 2θ = 10–90°, in order of rising 2θ:
| 2theta | I_rel |
| --- | --- |
| 29.7 | 24.3 |
| 30.1 | 20.0 |
| 30.7 | 97.2 |
| 31.7 | 100.0 |
| 32.7 | 40.2 |
| 33.7 | 29.6 |
| 51.5 | 15.4 |
| 54.4 | 20.3 |
| 61.2 | 18.8 |
| 61.7 | 38.9 |